The following is a theoretical powder diffractogram of Pr4Y3Th. It was derived from DFT lattice parameters and positions (GGA-PBE), using Cu Kα X-rays.
Peak positions follow from Bragg's law for the DFT cell and can differ from measured ones.

Most intense lines, 5 to 70 degrees two-theta, by angle:
| Position (°2θ) | I_rel |
| --- | --- |
| 28.19 | 27 |
| 29.20 | 60 |
| 30.25 | 63 |
| 32.03 | 97 |
| 32.12 | 100 |
| 36.40 | 23 |
| 49.89 | 47 |
| 54.97 | 22 |
| 59.53 | 36 |
| 60.58 | 27 |

Atomic structure:
Unit cell a=24.446 b=3.653 c=6.337 alpha=90.00 beta=104.75 gamma=90.00
Space group C2/m (No. 12)
Symmetry-distinct sites (fractional):
Pr 0.124 0.000 0.452
Pr 0.249 0.000 0.247
Y 0.000 0.500 0.500
Y 0.121 0.500 0.955
Th 0.000 0.000 0.000


The following is a theoretical powder diffractogram of BaPaHgI6. It was derived from DFT lattice parameters and positions (GGA-PBE), using Cu Kα X-rays.
Peak positions follow from Bragg's law for the DFT cell and can differ from measured ones.

Most intense lines, 5 to 70 degrees two-theta, by angle:
| Position (°2θ) | I_rel |
| --- | --- |
| 9.91 | 36 |
| 13.00 | 20 |
| 15.59 | 84 |
| 23.16 | 72 |
| 29.00 | 100 |
| 33.71 | 28 |
| 36.58 | 43 |
| 36.87 | 20 |
| 44.58 | 18 |
| 47.34 | 22 |

Atomic structure:
Unit cell a=8.5087 b=8.5087 c=17.8508 alpha=90.00 beta=90.00 gamma=120.00
Space group P-31c (No. 163)
Symmetry-distinct sites (fractional):
Ba 0.3333 0.6667 0.2500
Pa 0.3333 0.6667 0.7500
Hg 0.0000 0.0000 0.0000
I 0.0383 0.3821 0.6494


The following is a theoretical powder diffractogram of Li3Cu2SbO6. It was derived from DFT lattice parameters and positions (GGA-PBE), using Cu Kα X-rays.
Peak positions follow from Bragg's law for the DFT cell and can differ from measured ones.

Most intense lines, 5 to 70 degrees two-theta, by angle:
| Position (°2θ) | I_rel |
| --- | --- |
| 17.91 | 48 |
| 20.43 | 55 |
| 21.14 | 100 |
| 32.53 | 30 |
| 36.23 | 53 |
| 37.46 | 62 |
| 44.16 | 80 |
| 59.11 | 29 |
| 59.41 | 27 |
| 64.23 | 23 |

Atomic structure:
Unit cell a=5.626 b=8.696 c=9.914 alpha=90.00 beta=92.46 gamma=90.00
Space group C2/c (No. 15)
Symmetry-distinct sites (fractional):
Li 0.000 0.095 0.250
Li 0.233 0.084 0.999
Cu 0.000 0.415 0.250
Cu 0.250 0.250 0.500
Sb 0.000 0.245 0.750
O 0.110 0.096 0.613
O 0.119 0.416 0.631
O 0.178 0.258 0.150


The following is a theoretical powder diffractogram of Nb2Fe21B6. It was derived from DFT lattice parameters and positions (GGA-PBE), using Cu Kα X-rays.
Peak positions follow from Bragg's law for the DFT cell and can differ from measured ones.

Most intense lines, 5 to 70 degrees two-theta, by angle:
| Position (°2θ) | I_rel |
| --- | --- |
| 16.62 | 4 |
| 37.72 | 40 |
| 41.47 | 42 |
| 44.12 | 100 |
| 48.26 | 27 |
| 50.63 | 27 |
| 51.40 | 7 |
| 54.40 | 5 |
| 56.58 | 2 |
| 57.29 | 12 |

Atomic structure:
Unit cell a=10.667 b=10.667 c=10.667 alpha=90.00 beta=90.00 gamma=90.00
Space group Fm-3m (No. 225)
Symmetry-distinct sites (fractional):
Nb 0.250 0.250 0.250
Fe 0.000 0.000 0.000
Fe 0.000 0.171 0.171
Fe 0.116 0.116 0.384
B 0.000 0.000 0.274